1.
This entry pairs a crystal structure of Ca4InPb5 with its computed PXRD pattern. Radiation: Cu Kα (weighted mean of Kα1 and Kα2). Structure: DFT lattice parameters and positions (PBE).
Neutral-atom scattering factors, no anomalous dispersion.

Peak list (6 most intense, 2θ from 10° to 90°, low angle first)
| two_theta | I/Imax |
| --- | --- |
| 19.26 | 47.7 |
| 31.08 | 100.0 |
| 31.91 | 92.8 |
| 35.19 | 71.7 |
| 40.42 | 32.0 |
| 53.60 | 50.5 |

Crystal structure
Cell: 3.6839 4.6084 17.6699 Å, 90.00 90.00 90.00°
Fractional coordinates of all 10 atoms:
1 Ca 0.0000 0.0000 0.1012
2 Ca 0.0000 0.0000 0.3040
3 Ca 0.0000 0.0000 0.6960
4 Ca 0.0000 0.0000 0.8988
5 In 0.0000 0.0000 0.5000
6 Pb 0.5000 0.5000 0.0000
7 Pb 0.5000 0.5000 0.2025
8 Pb 0.5000 0.5000 0.4031
9 Pb 0.5000 0.5000 0.5969
10 Pb 0.5000 0.5000 0.7975

=====

2.
This entry pairs a crystal structure of Th2TlH2 with its computed PXRD pattern. Radiation: Cu Kα (weighted mean of Kα1 and Kα2). Structure: DFT lattice parameters and positions (PBE).
Neutral-atom scattering factors, no anomalous dispersion.

Peak list (6 most intense, 2θ from 10° to 90°, low angle first)
| two_theta | I/Imax |
| --- | --- |
| 29.47 | 74.9 |
| 30.28 | 33.3 |
| 30.45 | 100.0 |
| 32.07 | 60.8 |
| 32.69 | 58.1 |
| 36.84 | 61.6 |

Crystal structure
Cell: 6.0711 6.0711 6.7493 Å, 103.01 103.01 118.43°
Fractional coordinates of all 10 atoms:
1 Th 0.0693 0.9307 0.7500
2 Th 0.2887 0.7113 0.2500
3 Th 0.7113 0.2887 0.7500
4 Th 0.9307 0.0693 0.2500
5 Tl 0.3863 0.6137 0.7500
6 Tl 0.6137 0.3863 0.2500
7 H 0.0224 0.2483 0.9865
8 H 0.2483 0.0224 0.4865
9 H 0.7517 0.9776 0.5135
10 H 0.9776 0.7517 0.0135

=====

3.
This entry pairs a crystal structure of Na2DySbTe4 with its computed PXRD pattern. Radiation: Cu Kα (weighted mean of Kα1 and Kα2). Structure: DFT lattice parameters and positions (PBE).
Neutral-atom scattering factors, no anomalous dispersion.

Peak list (6 most intense, 2θ from 10° to 90°, low angle first)
| two_theta | I/Imax |
| --- | --- |
| 11.72 | 32.0 |
| 28.02 | 100.0 |
| 39.41 | 12.7 |
| 39.55 | 25.0 |
| 40.52 | 25.0 |
| 50.13 | 15.2 |

Crystal structure
Cell: 7.7230 4.4345 7.9712 Å, 90.00 108.68 90.00°
Fractional coordinates of all 8 atoms:
1 Na 0.0000 0.0000 0.0000
2 Na 0.5000 0.5000 0.0000
3 Dy 0.0000 0.5000 0.5000
4 Sb 0.5000 0.0000 0.5000
5 Te 0.2445 0.0000 0.7299
6 Te 0.2567 0.5000 0.2696
7 Te 0.7433 0.5000 0.7304
8 Te 0.7555 0.0000 0.2701